(1)
RbAcSCl2: calculated powder XRD pattern (Cu Kα (weighted mean of Kα1 and Kα2)), based on a cell relaxed with PBE.
Kinematic intensities with the Lorentz-polarization factor, no thermal factor.

Cell and atoms:
```
5
Lattice="5.835 0.000 0.000 0.000 5.835 0.000 0.000 0.000 5.710" Properties=species:S:1:pos:R:3 pbc="T T T"
Rb 0.000 0.000 0.000
Ac 2.918 2.918 2.845
S 2.918 2.918 5.698
Cl 0.000 2.918 2.834
Cl 2.918 0.000 2.834
```

Principal peaks in the range 2θ from 10° to 90°, by angle:
Position (°2θ)	intensity
15.18	43
21.54	49
21.78	100
30.64	50
37.91	50
44.40	35

---

(2)
RbAcSn2Cl8: calculated powder XRD pattern (Cu Kα (weighted mean of Kα1 and Kα2)), based on a cell relaxed with PBE.
Kinematic intensities with the Lorentz-polarization factor, no thermal factor.

Cell and atoms:
```
12
Lattice="6.629 0.000 0.000 0.244 7.039 0.000 0.484 0.533 9.432" Properties=species:S:1:pos:R:3 pbc="T T T"
Rb 0.000 0.000 0.000
Ac 0.242 0.267 4.716
Sn 3.516 3.561 2.304
Sn 3.841 4.012 7.128
Cl 1.802 5.850 2.606
Cl 2.023 2.564 4.329
Cl 2.287 6.415 6.794
Cl 2.002 2.581 0.507
Cl 5.355 4.992 8.925
Cl 5.070 1.158 2.638
Cl 5.334 5.009 5.103
Cl 5.555 1.723 6.825
```

Principal peaks in the range 2θ from 10° to 90°, by angle:
Position (°2θ)	intensity
18.12	100
18.71	89
22.10	31
22.61	48
23.70	47
35.41	39

---

(3)
Ac6Rh4Cl: calculated powder XRD pattern (Cu Kα (weighted mean of Kα1 and Kα2)), based on a cell relaxed with PBE.
Kinematic intensities with the Lorentz-polarization factor, no thermal factor.

Cell and atoms:
```
11
Lattice="6.081 0.000 0.000 0.615 6.050 0.000 1.682 1.492 9.029" Properties=species:S:1:pos:R:3 pbc="T T T"
Ac 0.000 0.000 0.000
Ac 1.946 4.499 6.354
Ac 3.624 6.003 3.251
Ac 3.276 2.960 0.084
Ac 4.700 1.451 6.355
Ac 6.342 2.995 3.251
Rh 1.709 1.518 5.733
Rh 3.657 5.971 0.330
Rh 4.945 4.443 5.771
Rh 6.311 3.034 0.329
Cl 6.667 6.021 3.083
```

Principal peaks in the range 2θ from 10° to 90°, by angle:
Position (°2θ)	intensity
24.66	42
29.68	47
29.95	100
38.80	25
38.87	26
39.96	25

---

(4)
Ac3RuCl3: calculated powder XRD pattern (Cu Kα (weighted mean of Kα1 and Kα2)), based on a cell relaxed with PBE.
Kinematic intensities with the Lorentz-polarization factor, no thermal factor.

Cell and atoms:
```
14
Lattice="9.343 0.000 0.000 0.000 4.430 0.000 -0.903 0.000 12.491" Properties=species:S:1:pos:R:3 pbc="T T T"
Ac 0.544 1.108 4.857
Ac 0.504 1.108 10.614
Ac 2.572 3.323 7.789
Ac 5.868 1.108 4.702
Ac 7.936 3.323 1.877
Ac 7.896 3.323 7.634
Ru 0.559 1.108 7.848
Ru 7.881 3.323 4.643
Cl 0.639 1.108 1.378
Cl 2.518 3.323 10.891
Cl 3.356 3.323 4.787
Cl 5.084 1.108 7.704
Cl 5.922 1.108 1.600
Cl 7.801 3.323 11.113
```

Principal peaks in the range 2θ from 10° to 90°, by angle:
Position (°2θ)	intensity
11.43	29
24.64	53
27.79	100
28.59	46
39.23	31
41.33	35

---

(5)
Ac3RuSeCl: calculated powder XRD pattern (Cu Kα (weighted mean of Kα1 and Kα2)), based on a cell relaxed with PBE.
Kinematic intensities with the Lorentz-polarization factor, no thermal factor.

Cell and atoms:
```
12
Lattice="8.203 0.000 0.000 0.000 4.442 0.000 -1.289 0.000 11.077" Properties=species:S:1:pos:R:3 pbc="T T T"
Ac -0.044 1.111 2.186
Ac 1.097 3.332 5.546
Ac 2.320 1.111 8.821
Ac 4.594 3.332 2.256
Ac 5.817 1.111 5.530
Ac 6.957 3.332 8.891
Ru -0.066 1.111 7.418
Ru 6.979 3.332 3.658
Se 2.907 1.111 3.645
Se 4.006 3.332 7.432
Cl 1.308 3.332 10.777
Cl 5.606 1.111 0.300
```

Principal peaks in the range 2θ from 10° to 90°, by angle:
Position (°2θ)	intensity
24.62	36
27.23	100
28.66	46
38.87	42
40.62	22
41.00	31

---

(6)
Ac4Se5Cl: calculated powder XRD pattern (Cu Kα (weighted mean of Kα1 and Kα2)), based on a cell relaxed with PBE.
Kinematic intensities with the Lorentz-polarization factor, no thermal factor.

Cell and atoms:
```
10
Lattice="10.185 -2.290 0.000 10.185 2.290 0.000 -3.373 0.000 7.591" Properties=species:S:1:pos:R:3 pbc="T T T"
Ac -0.809 0.000 1.826
Ac 17.806 0.000 5.764
Ac 4.773 0.000 2.129
Ac 12.225 0.000 5.462
Se 1.895 0.000 3.310
Se 0.343 0.000 6.795
Se 10.185 0.000 0.000
Se 16.654 0.000 0.795
Se 15.102 0.000 4.280
Cl 8.499 0.000 3.795
```

Principal peaks in the range 2θ from 10° to 90°, by angle:
Position (°2θ)	intensity
19.07	47
23.46	39
24.16	42
29.42	100
37.94	84
39.20	50